Starting from a DFT-relaxed cell (GGA-PBE, the Materials Project), the powder XRD pattern of SmBiO4 was calculated for λ = 1.5418 Å (Cu Kα).

Cell and atoms:
Unit cell a=7.3610 b=11.4043 c=5.3530 alpha=90.00 beta=130.18 gamma=90.00
Space group C2/c (No. 15)
One atom of each set of equivalent atoms:
Sm  0.0000  0.1372  0.2500 x4
Bi  0.0000  0.4009  0.7500 x4
O  0.1694  0.2817  0.6650 x8
O  0.2426  0.4739  0.2333 x8

Top 10 peaks for 2θ from 10° to 80°, low angle first:
d = 3.323 Å, intensity 100, (0 2 1)
d = 3.089 Å, intensity 92, (2 2 -1)
d = 2.851 Å, intensity 19, (0 4 0)
d = 2.812 Å, intensity 25, (2 0 0)
d = 2.661 Å, intensity 20, (2 0 -2)
d = 2.045 Å, intensity 18, (0 0 2)
d = 2.002 Å, intensity 25, (2 4 0)
d = 1.945 Å, intensity 24, (2 4 -2)
d = 1.743 Å, intensity 17, (2 2 1)
d = 1.670 Å, intensity 14, (2 2 -3)

Starting from a DFT-relaxed cell (GGA-PBE, the Materials Project), the powder XRD pattern of Sm2BiO2 was calculated for λ = 1.5418 Å (Cu Kα).

Cell and atoms:
Unit cell a=3.9718 b=3.9718 c=13.8873 alpha=90.00 beta=90.00 gamma=90.00
Space group I4/mmm (No. 139)
One atom of each set of equivalent atoms:
Sm  0.0000  0.0000  0.1668 x4
Bi  0.0000  0.0000  0.5000 x2
O  0.0000  0.5000  0.2500 x4

Top 10 peaks for 2θ from 10° to 80°, low angle first:
d = 3.014 Å, intensity 100, (1 0 3)
d = 2.808 Å, intensity 36, (1 1 0)
d = 2.315 Å, intensity 11, (0 0 6)
d = 1.986 Å, intensity 17, (2 0 0)
d = 1.786 Å, intensity 25, (1 1 6)
d = 1.658 Å, intensity 35, (2 1 3)
d = 1.507 Å, intensity 12, (2 0 6)
d = 1.438 Å, intensity 11, (1 0 9)
d = 1.273 Å, intensity 7, (3 0 3)
d = 1.256 Å, intensity 6, (3 1 0)

Starting from a DFT-relaxed cell (GGA-PBE, the Materials Project), the powder XRD pattern of Sm2Ti3Bi2O12 was calculated for λ = 1.5418 Å (Cu Kα).

Cell and atoms:
Unit cell a=3.8230 b=3.8230 c=33.1001 alpha=90.00 beta=90.00 gamma=90.00
Space group I4/mmm (No. 139)
One atom of each set of equivalent atoms:
Sm  0.0000  0.0000  0.0658 x4
Ti  0.0000  0.0000  0.3730 x4
Ti  0.0000  0.0000  0.5000 x2
Bi  0.0000  0.0000  0.2110 x4
O  0.0000  0.0000  0.3188 x4
O  0.0000  0.0000  0.4414 x4
O  0.0000  0.5000  0.0000 x4
O  0.0000  0.5000  0.1135 x8
O  0.0000  0.5000  0.2500 x4

Top 10 peaks for 2θ from 10° to 80°, low angle first:
d = 3.798 Å, intensity 13, (1 0 1)
d = 3.311 Å, intensity 15, (1 0 5)
d = 2.973 Å, intensity 100, (1 0 7)
d = 2.703 Å, intensity 39, (1 1 0)
d = 2.364 Å, intensity 13, (0 0 14)
d = 2.263 Å, intensity 18, (1 1 8)
d = 1.911 Å, intensity 31, (2 0 0)
d = 1.780 Å, intensity 21, (1 1 14)
d = 1.608 Å, intensity 33, (2 1 7)
d = 1.352 Å, intensity 12, (2 2 0)

Starting from a DFT-relaxed cell (GGA-PBE, the Materials Project), the powder XRD pattern of SnBiO4 was calculated for λ = 1.5418 Å (Cu Kα).

Cell and atoms:
Unit cell a=4.1996 b=4.1996 c=10.9500 alpha=90.00 beta=90.00 gamma=90.00
Space group I-4m2 (No. 119)
One atom of each set of equivalent atoms:
Sn  0.0000  0.0000  0.0000 x2
Bi  0.0000  0.5000  0.7500 x2
O  0.0000  0.0000  0.1921 x4
O  0.0000  0.5000  0.5398 x4

Top 10 peaks for 2θ from 10° to 80°, low angle first:
d = 3.921 Å, intensity 100, (1 0 1)
d = 2.755 Å, intensity 27, (1 0 3)
d = 2.738 Å, intensity 19, (0 0 4)
d = 2.610 Å, intensity 41, (1 1 2)
d = 2.100 Å, intensity 23, (2 0 0)
d = 1.942 Å, intensity 18, (1 0 5)
d = 1.851 Å, intensity 26, (2 1 1)
d = 1.670 Å, intensity 13, (2 1 3)
d = 1.666 Å, intensity 18, (2 0 4)
d = 1.555 Å, intensity 14, (1 1 6)

Starting from a DFT-relaxed cell (GGA-PBE, the Materials Project), the powder XRD pattern of YSn2BiO7 was calculated for λ = 1.5418 Å (Cu Kα).

Cell and atoms:
Unit cell a=7.4830 b=7.5342 c=10.6397 alpha=90.00 beta=90.00 gamma=90.00
Space group Imma (No. 74)
One atom of each set of equivalent atoms:
Y  0.0000  0.0000  0.0000 x4
Sn  0.0000  0.0000  0.5000 x4
Sn  0.2500  0.2500  0.2500 x4
Bi  0.2500  0.2500  0.7500 x4
O  0.0000  0.2500  0.1633 x4
O  0.0000  0.2500  0.5839 x4
O  0.0000  0.2500  0.8838 x4
O  0.2133  0.0416  0.3772 x16

Top 10 peaks for 2θ from 10° to 80°, low angle first:
d = 3.074 Å, intensity 100, (0 2 2)
d = 3.060 Å, intensity 99, (2 0 2)
d = 2.656 Å, intensity 67, (0 0 4)
d = 1.884 Å, intensity 16, (0 4 0)
d = 1.879 Å, intensity 65, (2 2 4)
d = 1.871 Å, intensity 16, (4 0 0)
d = 1.604 Å, intensity 61, (2 4 2)
d = 1.598 Å, intensity 30, (4 2 2)
d = 1.220 Å, intensity 13, (2 4 6)
d = 1.218 Å, intensity 13, (4 2 6)

Starting from a DFT-relaxed cell (GGA-PBE, the Materials Project), the powder XRD pattern of Y3Sn4BiO14 was calculated for λ = 1.5418 Å (Cu Kα).

Cell and atoms:
Unit cell a=7.4883 b=7.4883 c=18.2505 alpha=90.00 beta=90.00 gamma=120.00
Space group R-3m (No. 166, hexagonal axes)
One atom of each set of equivalent atoms:
Y  0.0000  0.5000  0.0000 x9
Sn  0.0000  0.0000  0.0000 x3
Sn  0.0000  0.5000  0.5000 x9
Bi  0.0000  0.0000  0.5000 x3
O  0.0000  0.0000  0.3708 x6
O  0.0499  0.5250  0.6127 x18
O  0.0543  0.5272  0.8638 x18

Top 10 peaks for 2θ from 10° to 80°, low angle first:
d = 3.055 Å, intensity 100, (2 0 2)
d = 3.042 Å, intensity 33, (0 0 6)
d = 2.643 Å, intensity 42, (0 2 4)
d = 1.872 Å, intensity 33, (2 2 0)
d = 1.866 Å, intensity 33, (2 0 8)
d = 1.595 Å, intensity 45, (0 4 2)
d = 1.590 Å, intensity 15, (0 2 10)
d = 1.528 Å, intensity 10, (4 0 4)
d = 1.322 Å, intensity 10, (0 4 8)
d = 1.215 Å, intensity 12, (4 2 2)

Starting from a DFT-relaxed cell (GGA-PBE, the Materials Project), the powder XRD pattern of Sr6Bi2O11 was calculated for λ = 1.5418 Å (Cu Kα).

Cell and atoms:
Unit cell a=8.6176 b=8.5826 c=8.8560 alpha=90.00 beta=90.13 gamma=90.00
Space group P2_1/m (No. 11)
One atom of each set of equivalent atoms:
Sr  0.0134  0.0164  0.2158 x4
Sr  0.2496  0.7500  0.5012 x2
Sr  0.2512  0.2500  0.9217 x2
Sr  0.4821  0.0133  0.2166 x4
Bi  0.2490  0.2500  0.5362 x2
Bi  0.2495  0.7500  0.0007 x2
O  0.0022  0.7500  0.9914 x2
O  0.0174  0.2500  0.6146 x2
O  0.2414  0.7500  0.7677 x2
O  0.2475  0.2500  0.2985 x2
O  0.2501  0.0193  0.6189 x4
O  0.2507  0.5026  0.0152 x4
O  0.2548  0.7500  0.2340 x2
O  0.4820  0.2500  0.6108 x2
O  0.4965  0.7500  0.9840 x2

Top 10 peaks for 2θ from 10° to 80°, low angle first:
d = 5.013 Å, intensity 32, (1 1 -1)
d = 4.300 Å, intensity 15, (2 0 0)
d = 3.085 Å, intensity 100, (0 2 2)
d = 3.041 Å, intensity 54, (2 2 0)
d = 2.154 Å, intensity 17, (4 0 0)
d = 2.146 Å, intensity 17, (0 4 0)
d = 1.790 Å, intensity 14, (2 2 -4)
d = 1.766 Å, intensity 19, (4 2 -2)
d = 1.762 Å, intensity 19, (2 4 -2)
d = 1.520 Å, intensity 10, (4 4 0)

Starting from a DFT-relaxed cell (GGA-PBE, the Materials Project), the powder XRD pattern of Sr4Bi14O25 was calculated for λ = 1.5418 Å (Cu Kα).

Cell and atoms:
Unit cell a=3.7003 b=10.6834 c=22.3034 alpha=103.10 beta=91.40 gamma=95.05
Space group P1 (No. 1)
One atom of each set of equivalent atoms:
Sr  0.0000  0.0000  0.0000 x1
Sr  0.0259  0.0362  0.1496 x1
Sr  0.1387  0.0268  0.5413 x1
Sr  0.6102  0.9891  0.3837 x1
Bi  0.0334  0.6877  0.4173 x1
Bi  0.1684  0.2519  0.3220 x1
Bi  0.3065  0.7707  0.2347 x1
Bi  0.3136  0.3763  0.6624 x1
Bi  0.4311  0.7061  0.8713 x1
Bi  0.4806  0.0708  0.8640 x1
Bi  0.5465  0.7218  0.5823 x1
Bi  0.6299  0.3262  0.1099 x1
Bi  0.6470  0.5219  0.2744 x1
Bi  0.7191  0.0587  0.6946 x1
Bi  0.7313  0.3242  0.4940 x1
Bi  0.8317  0.4124  0.7985 x1
Bi  0.9039  0.7123  0.7162 x1
Bi  0.9667  0.5296  0.9467 x1
O  0.0798  0.9617  0.2920 x1
O  0.0903  0.8914  0.4311 x1
O  0.0923  0.2162  0.0854 x1
O  0.1886  0.5328  0.2110 x1
O  0.2148  0.4564  0.3394 x1
O  0.2380  0.3869  0.0071 x1
O  0.2622  0.1472  0.6580 x1
O  0.3124  0.9002  0.7280 x1
O  0.3533  0.5782  0.0491 x1
O  0.3591  0.5929  0.6720 x1
O  0.4525  0.9090  0.9174 x1
O  0.5177  0.9932  0.0774 x1
O  0.5714  0.8855  0.7782 x1
O  0.5733  0.3527  0.0049 x1
O  0.5798  0.2086  0.1882 x1
O  0.6175  0.9223  0.5870 x1
O  0.6549  0.1268  0.4916 x1
O  0.6648  0.2938  0.2499 x1
O  0.6818  0.2418  0.3837 x1
O  0.7051  0.5804  0.0509 x1
O  0.7192  0.9755  0.2696 x1
O  0.7454  0.2049  0.7844 x1
O  0.8010  0.3533  0.6002 x1
O  0.9798  0.1284  0.9170 x1
O  0.9889  0.6795  0.5141 x1

Top 10 peaks for 2θ from 10° to 80°, low angle first:
d = 3.540 Å, intensity 40, (0 3 -1)
d = 3.452 Å, intensity 32, (0 3 0)
d = 3.437 Å, intensity 31, (0 3 -3)
d = 3.196 Å, intensity 100, (0 1 6)
d = 3.163 Å, intensity 39, (-1 1 3)
d = 3.024 Å, intensity 28, (1 1 -4)
d = 2.998 Å, intensity 24, (1 -2 3)
d = 2.980 Å, intensity 37, (0 2 -7)
d = 2.674 Å, intensity 30, (1 2 2)
d = 2.382 Å, intensity 23, (-1 3 3)